Entry 1:
Starting from DFT lattice parameters and positions (PBE+U), the X-ray diffraction stick pattern of Li4TiMnW2O12 was simulated for CuKα.

Atomic structure:
```
data_Li4TiMnW2O12
_chemical_formula_sum 'Li4 Ti1 Mn1 W2 O12'
_cell_length_a 5.1110
_cell_length_b 5.3897
_cell_length_c 7.4255
_cell_angle_alpha 85.82
_cell_angle_beta 89.96
_cell_angle_gamma 90.00
_space_group_name_H-M_alt 'P 1'
_space_group_IT_number 1
_space_group_name_Hall 'P 1'
loop_
_atom_site_label
_atom_site_type_symbol
_atom_site_fract_x
_atom_site_fract_y
_atom_site_fract_z
Li1 Li 0.0000 0.0000 0.0000
Li2 Li 0.0010 0.0042 0.5088
Li3 Li 0.5008 0.5001 0.0012
Li4 Li 0.5016 0.4905 0.5039
Ti1 Ti 0.9985 0.5513 0.2803
Mn1 Mn 0.5022 0.0702 0.7890
W1 W 0.9999 0.5717 0.7844
W2 W 0.5020 0.0589 0.2897
O1 O 0.1181 0.5862 0.0413
O2 O 0.1931 0.8890 0.7384
O3 O 0.1955 0.2702 0.3560
O4 O 0.3091 0.7728 0.3580
O5 O 0.3123 0.3876 0.7395
O6 O 0.3839 0.0862 0.0430
O7 O 0.6194 0.0929 0.5438
O8 O 0.6814 0.3941 0.2411
O9 O 0.7011 0.7798 0.8583
O10 O 0.8021 0.2771 0.8576
O11 O 0.8164 0.8990 0.2385
O12 O 0.8812 0.5920 0.5449
```

Top 10 peaks for 2θ = 10–90°, by angle:
hkl 0 1 1, 19.69°, intensity 14.8; hkl 1 0 1, 21.12°, intensity 37.8; hkl 1 1 0, 24.03°, intensity 100.0; hkl 1 1 2, 33.34°, intensity 37.3; hkl 2 0 0, 35.12°, intensity 25.2; hkl 1 0 3, 40.58°, intensity 19.6; hkl 2 2 0, 49.20°, intensity 18.5; hkl 1 1 4, 54.26°, intensity 26.1; hkl 3 -1 0, 56.68°, intensity 16.4; hkl -3 1 2, 61.88°, intensity 14.1

Entry 2:
Starting from DFT lattice parameters and positions (PBE+U), the X-ray diffraction stick pattern of MgScNi2SbO6 was simulated for CuKα.

Atomic structure:
```
data_MgScNi2SbO6
_chemical_formula_sum 'Mg1 Sc1 Ni2 Sb1 O6'
_cell_length_a 5.5189
_cell_length_b 5.7022
_cell_length_c 5.9898
_cell_angle_alpha 64.12
_cell_angle_beta 64.26
_cell_angle_gamma 62.70
_space_group_name_H-M_alt 'P 1'
_space_group_IT_number 1
_space_group_name_Hall 'P 1'
loop_
_atom_site_label
_atom_site_type_symbol
_atom_site_fract_x
_atom_site_fract_y
_atom_site_fract_z
Mg1 Mg 0.0000 0.0000 0.0000
Sc1 Sc 0.9093 0.3288 0.4924
Ni1 Ni 0.2665 0.4306 0.7677
Ni2 Ni 0.6254 0.9245 0.5010
Sb1 Sb 0.6204 0.7181 0.0512
O1 O 0.0122 0.6133 0.0985
O2 O 0.2475 0.1424 0.6557
O3 O 0.5191 0.6423 0.4826
O4 O 0.6519 0.1186 0.8794
O5 O 0.8746 0.6086 0.7132
O6 O 0.8765 0.1479 0.2851
```

Top 10 peaks for 2θ = 10–90°, by angle:
hkl 1 0 0, 18.92°, intensity 78.5; hkl 1 1 1, 19.56°, intensity 45.3; hkl 1 1 0, 21.57°, intensity 94.7; hkl 0 1 -1, 28.81°, intensity 62.7; hkl 1 1 2, 30.11°, intensity 41.0; hkl 1 -1 0, 30.64°, intensity 73.4; hkl 1 2 1, 31.45°, intensity 100.0; hkl 0 1 2, 34.24°, intensity 63.9; hkl 1 0 2, 34.46°, intensity 51.1; hkl 2 1 0, 36.62°, intensity 45.2

Entry 3:
Starting from DFT lattice parameters and positions (PBE+U), the X-ray diffraction stick pattern of Ti7W6O30 was simulated for CuKα.

Atomic structure:
```
data_Ti7W6O30
_chemical_formula_sum 'Ti7 W6 O30'
_cell_length_a 5.2360
_cell_length_b 5.2360
_cell_length_c 23.4627
_cell_angle_alpha 90.00
_cell_angle_beta 90.00
_cell_angle_gamma 120.00
_space_group_name_H-M_alt 'P 3'
_space_group_IT_number 143
_space_group_name_Hall 'P 3'
loop_
_atom_site_label
_atom_site_type_symbol
_atom_site_fract_x
_atom_site_fract_y
_atom_site_fract_z
Ti1 Ti 0.0000 0.0000 0.0000
Ti2 Ti 0.0000 0.0000 0.1217
Ti3 Ti 0.0000 0.0000 0.3915
Ti4 Ti 0.0000 0.0000 0.8016
Ti5 Ti 0.6667 0.3333 0.0911
Ti6 Ti 0.6667 0.3333 0.4171
Ti7 Ti 0.6667 0.3333 0.8281
W1 W 0.0000 0.0000 0.5160
W2 W 0.3333 0.6667 0.3118
W3 W 0.3333 0.6667 0.6091
W4 W 0.3333 0.6667 0.9128
W5 W 0.6667 0.3333 0.2194
W6 W 0.6667 0.3333 0.7026
O1 O 0.9996 0.4223 0.6591
O2 O 0.0023 0.3941 0.2590
O3 O 0.0081 0.6714 0.3623
O4 O 0.0130 0.3547 0.8566
O5 O 0.0672 0.7306 0.9535
O6 O 0.0909 0.7560 0.5595
O7 O 0.3113 0.0735 0.0566
O8 O 0.3199 0.0831 0.4566
O9 O 0.3480 0.2494 0.7625
O10 O 0.3543 0.2605 0.1574
```

Top 10 peaks for 2θ = 10–90°, by angle:
hkl 1 0 2, 21.00°, intensity 76.3; hkl 0 1 3, 22.67°, intensity 100.0; hkl 0 1 4, 24.82°, intensity 57.1; hkl 1 0 6, 30.18°, intensity 35.8; hkl 1 0 7, 33.24°, intensity 36.8; hkl 1 1 0, 34.25°, intensity 59.1; hkl 0 1 8, 36.49°, intensity 21.7; hkl 0 2 7, 48.47°, intensity 21.4; hkl 2 -1 10, 52.36°, intensity 48.5; hkl 1 2 3, 54.82°, intensity 20.1

Entry 4:
Starting from DFT lattice parameters and positions (PBE+U), the X-ray diffraction stick pattern of CaMo2O4 was simulated for CuKα.

Atomic structure:
```
data_CaMo2O4
_chemical_formula_sum 'Ca6 Mo12 O24'
_cell_length_a 6.4433
_cell_length_b 6.5373
_cell_length_c 16.1392
_cell_angle_alpha 91.25
_cell_angle_beta 91.86
_cell_angle_gamma 119.35
_space_group_name_H-M_alt 'P 1'
_space_group_IT_number 1
_space_group_name_Hall 'P 1'
loop_
_atom_site_label
_atom_site_type_symbol
_atom_site_fract_x
_atom_site_fract_y
_atom_site_fract_z
Ca1 Ca 0.0000 0.0000 0.0000
Ca2 Ca 0.0000 0.4944 0.8780
Ca3 Ca 0.0011 0.4819 0.5005
Ca4 Ca 0.3475 0.6385 0.3330
Ca5 Ca 0.6465 0.3122 0.6648
Ca6 Ca 0.6694 0.8157 0.1633
Mo1 Mo 0.0086 0.5107 0.1294
Mo2 Mo 0.1390 0.8001 0.6675
Mo3 Mo 0.1483 0.3100 0.6687
Mo4 Mo 0.3229 0.1481 0.8374
Mo5 Mo 0.3323 0.1192 0.2039
Mo6 Mo 0.3576 0.1309 0.4613
Mo7 Mo 0.4987 0.4895 0.9978
Mo8 Mo 0.5012 0.9953 0.9996
Mo9 Mo 0.6439 0.8306 0.5333
Mo10 Mo 0.6449 0.8087 0.7887
Mo11 Mo 0.8436 0.6481 0.3302
Mo12 Mo 0.8552 0.1557 0.3335
O1 O 0.0064 0.4910 0.7393
O2 O 0.0101 0.9778 0.2578
O3 O 0.1571 0.7896 0.4126
O4 O 0.1770 0.3166 0.4160
O5 O 0.1895 0.3080 0.9167
O6 O 0.1974 0.8690 0.9160
O7 O 0.2768 0.1136 0.5967
O8 O 0.3152 0.6373 0.6066
O9 O 0.3438 0.6714 0.0639
O10 O 0.3674 0.1808 0.0782
O11 O 0.4679 0.4652 0.7596
O12 O 0.4676 0.9729 0.7563
O13 O 0.5229 0.9875 0.2560
O14 O 0.5307 0.4954 0.2446
O15 O 0.6233 0.2975 0.9228
O16 O 0.6340 0.8036 0.9151
O17 O 0.6902 0.3279 0.3992
O18 O 0.7172 0.8419 0.4037
O19 O 0.8189 0.1503 0.0831
O20 O 0.8217 0.6409 0.5894
O21 O 0.8320 0.6619 0.0677
O22 O 0.8380 0.1653 0.5909
O23 O 0.9802 0.4555 0.2570
O24 O 0.9867 0.9804 0.7520
```

Top 10 peaks for 2θ = 10–90°, by angle:
hkl 1 0 -1, 16.48°, intensity 40.8; hkl 1 0 -4, 26.59°, intensity 63.6; hkl 2 -1 0, 27.69°, intensity 45.9; hkl 1 1 -3, 31.26°, intensity 49.4; hkl 1 -2 3, 31.73°, intensity 100.0; hkl -2 1 3, 31.94°, intensity 54.4; hkl -1 2 3, 32.38°, intensity 99.4; hkl 1 0 5, 32.70°, intensity 90.1; hkl 1 1 3, 32.85°, intensity 61.2; hkl 1 2 -5, 49.82°, intensity 36.4

What did the second record say?
Starting from DFT lattice parameters and positions (PBE+U), the X-ray diffraction stick pattern of MgScNi2SbO6 was simulated for CuKα.

Atomic structure:
```
data_MgScNi2SbO6
_chemical_formula_sum 'Mg1 Sc1 Ni2 Sb1 O6'
_cell_length_a 5.5189
_cell_length_b 5.7022
_cell_length_c 5.9898
_cell_angle_alpha 64.12
_cell_angle_beta 64.26
_cell_angle_gamma 62.70
_space_group_name_H-M_alt 'P 1'
_space_group_IT_number 1
_space_group_name_Hall 'P 1'
loop_
_atom_site_label
_atom_site_type_symbol
_atom_site_fract_x
_atom_site_fract_y
_atom_site_fract_z
Mg1 Mg 0.0000 0.0000 0.0000
Sc1 Sc 0.9093 0.3288 0.4924
Ni1 Ni 0.2665 0.4306 0.7677
Ni2 Ni 0.6254 0.9245 0.5010
Sb1 Sb 0.6204 0.7181 0.0512
O1 O 0.0122 0.6133 0.0985
O2 O 0.2475 0.1424 0.6557
O3 O 0.5191 0.6423 0.4826
O4 O 0.6519 0.1186 0.8794
O5 O 0.8746 0.6086 0.7132
O6 O 0.8765 0.1479 0.2851
```

Top 10 peaks for 2θ = 10–90°, by angle:
hkl 1 0 0, 18.92°, intensity 78.5; hkl 1 1 1, 19.56°, intensity 45.3; hkl 1 1 0, 21.57°, intensity 94.7; hkl 0 1 -1, 28.81°, intensity 62.7; hkl 1 1 2, 30.11°, intensity 41.0; hkl 1 -1 0, 30.64°, intensity 73.4; hkl 1 2 1, 31.45°, intensity 100.0; hkl 0 1 2, 34.24°, intensity 63.9; hkl 1 0 2, 34.46°, intensity 51.1; hkl 2 1 0, 36.62°, intensity 45.2

Copy entry 3 word for word.
Starting from DFT lattice parameters and positions (PBE+U), the X-ray diffraction stick pattern of Ti7W6O30 was simulated for CuKα.

Atomic structure:
```
data_Ti7W6O30
_chemical_formula_sum 'Ti7 W6 O30'
_cell_length_a 5.2360
_cell_length_b 5.2360
_cell_length_c 23.4627
_cell_angle_alpha 90.00
_cell_angle_beta 90.00
_cell_angle_gamma 120.00
_space_group_name_H-M_alt 'P 3'
_space_group_IT_number 143
_space_group_name_Hall 'P 3'
loop_
_atom_site_label
_atom_site_type_symbol
_atom_site_fract_x
_atom_site_fract_y
_atom_site_fract_z
Ti1 Ti 0.0000 0.0000 0.0000
Ti2 Ti 0.0000 0.0000 0.1217
Ti3 Ti 0.0000 0.0000 0.3915
Ti4 Ti 0.0000 0.0000 0.8016
Ti5 Ti 0.6667 0.3333 0.0911
Ti6 Ti 0.6667 0.3333 0.4171
Ti7 Ti 0.6667 0.3333 0.8281
W1 W 0.0000 0.0000 0.5160
W2 W 0.3333 0.6667 0.3118
W3 W 0.3333 0.6667 0.6091
W4 W 0.3333 0.6667 0.9128
W5 W 0.6667 0.3333 0.2194
W6 W 0.6667 0.3333 0.7026
O1 O 0.9996 0.4223 0.6591
O2 O 0.0023 0.3941 0.2590
O3 O 0.0081 0.6714 0.3623
O4 O 0.0130 0.3547 0.8566
O5 O 0.0672 0.7306 0.9535
O6 O 0.0909 0.7560 0.5595
O7 O 0.3113 0.0735 0.0566
O8 O 0.3199 0.0831 0.4566
O9 O 0.3480 0.2494 0.7625
O10 O 0.3543 0.2605 0.1574
```

Top 10 peaks for 2θ = 10–90°, by angle:
hkl 1 0 2, 21.00°, intensity 76.3; hkl 0 1 3, 22.67°, intensity 100.0; hkl 0 1 4, 24.82°, intensity 57.1; hkl 1 0 6, 30.18°, intensity 35.8; hkl 1 0 7, 33.24°, intensity 36.8; hkl 1 1 0, 34.25°, intensity 59.1; hkl 0 1 8, 36.49°, intensity 21.7; hkl 0 2 7, 48.47°, intensity 21.4; hkl 2 -1 10, 52.36°, intensity 48.5; hkl 1 2 3, 54.82°, intensity 20.1